Starting from a PBE+U-relaxed structure, the PXRD pattern of Li4Mn5Cu2O12 was calculated for CuKα.
Lines closer than 0.1° are merged.

Crystal structure
```
data_Li4Mn5Cu2O12
_symmetry_space_group_name_H-M 'P 1 21 1'
_symmetry_Int_Tables_number 4
_cell_length_a 5.3536
_cell_length_b 8.8065
_cell_length_c 9.7584
_cell_angle_alpha 90.00
_cell_angle_beta 97.43
_cell_angle_gamma 90.00
loop_
_symmetry_equiv_pos_as_xyz
'x,y,z'
'-x,y+1/2,-z'
loop_
_atom_site_label
_atom_site_fract_x
_atom_site_fract_y
_atom_site_fract_z
_atom_site_occupancy
Li1 0.0087 0.0000 0.2637 1
Li2 0.0229 0.3212 0.2611 1
Li3 0.2603 0.4850 0.4937 1
Li4 0.4875 0.3090 0.7380 1
Mn1 0.0078 0.6509 0.2551 1
Mn2 0.2358 0.3321 0.9962 1
Mn3 0.2427 0.8221 0.5023 1
Mn4 0.2683 0.9946 0.0072 1
Mn5 0.4913 0.6601 0.7449 1
Cu1 0.2532 0.6585 0.0051 1
Cu2 0.2561 0.1441 0.5069 1
O1 0.0986 0.4904 0.1117 1
O2 0.1023 0.3040 0.6085 1
O3 0.1047 0.8248 0.1152 1
O4 0.1161 0.9847 0.6108 1
O5 0.1644 0.6683 0.6364 1
O6 0.1788 0.1497 0.1392 1
O7 0.3151 0.1721 0.8700 1
O8 0.3238 0.6684 0.3711 1
O9 0.3589 0.9821 0.3908 1
O10 0.3782 0.5068 0.8703 1
O11 0.4044 0.2954 0.3968 1
O12 0.4055 0.8296 0.9069 1
```

Peak list (10 most intense, 2θ from 10° to 80°, most intense first)
2θ/deg, d (Å), intensity
43.6, 2.074, 100
40.8, 2.210, 58
18.3, 4.838, 54
22.5, 3.950, 50
20.2, 4.403, 30
60.8, 1.523, 29
36.8, 2.445, 28
61.8, 1.501, 27
32.2, 2.780, 17
20.6, 4.302, 16